No. 1
Ti4Mn2O: theoretical powder diffractogram (λ = 1.5418 Å (Cu Kα)), based on a GGA+U-relaxed structure.
Kinematic intensities with the Lorentz-polarization factor, no thermal factor.

Structural model:
a = 11.8894 Å, b = 11.8894 Å, c = 11.8894 Å
α = 90.00°, β = 90.00°, γ = 90.00°
Space group F-43m (No. 216)
Symmetry-distinct sites (fractional):
Ti  0.0000  0.0000  0.1798 x24
Ti  0.0702  0.2500  0.2500 x24
Ti  0.0861  0.0861  0.4139 x16
Mn  0.1249  0.1249  0.6249 x16
Mn  0.1611  0.1611  0.8389 x16
O  0.1249  0.1249  0.1249 x16

Most intense lines, 2θ = 5–70°, by angle:
d [Å]  2θ/deg  I/Imax  index
2.728  32.84  7  3 3 1
2.427  37.04  32  4 2 2
2.288  39.38  100  3 3 3
2.102  43.04  29  4 4 0
1.982  45.79  9  4 4 2
1.716  53.39  7  4 4 4
1.401  66.76  28  6 6 0
1.373  68.32  7  5 5 5



No. 2
VZnHPbO5: theoretical powder diffractogram (λ = 1.5418 Å (Cu Kα)), based on a GGA+U-relaxed structure.
Kinematic intensities with the Lorentz-polarization factor, no thermal factor.

Structural model:
a = 7.6819 Å, b = 6.1926 Å, c = 9.5532 Å
α = 90.00°, β = 90.00°, γ = 90.00°
Space group Pnma (No. 62)
Symmetry-distinct sites (fractional):
V  0.1324  0.2500  0.1876 x4
Zn  0.0000  0.0000  0.5000 x4
H  0.2399  0.7500  0.0167 x4
Pb  0.1337  0.2500  0.8234 x4
O  0.0449  0.7500  0.9192 x4
O  0.1230  0.0102  0.2902 x8
O  0.1463  0.2500  0.5668 x4
O  0.1855  0.7500  0.5739 x4

Most intense lines, 2θ = 5–70°, by angle:
d [Å]  2θ/deg  I/Imax  index
5.196  17.06  69  0 1 1
3.264  27.32  100  2 1 0
2.942  30.39  61  1 0 3
2.750  32.56  46  1 2 1
2.695  33.24  50  2 1 2
2.657  33.73  64  1 1 3
2.337  38.52  44  2 2 1
1.677  54.72  39  3 2 3



> What is the formula in the second record?

VZnHPbO5